No. 1
Theoretical X-ray powder pattern
Compound: Ba2MgHg3
Radiation: CuKα
Structure: DFT lattice parameters and positions (PBE)

Peak list (10 most intense, 2θ = 15–90°, by intensity)
two_theta, I/Imax, h k l
28.0, 100, 1 1 2
31.0, 47, 1 0 5
49.0, 28, 1 2 5
18.9, 28, 0 1 1
37.0, 26, 0 2 0
37.9, 24, 2 0 0
30.8, 21, 0 1 5
23.5, 19, 0 1 3
39.4, 18, 0 1 7
39.6, 18, 1 0 7

Crystal structure
```
Ba2MgHg3
1.0
4.7534 0.0000 0.0000
0.0000 4.8583 0.0000
0.0000 0.0000 18.1463
Ba Mg Hg
4 2 6
Direct
0.0000 0.0000 0.0000
0.0000 0.5000 0.2598
0.5000 0.0000 0.7598
0.5000 0.5000 0.5000
0.0000 0.0000 0.5915
0.5000 0.5000 0.0915
0.0000 0.0000 0.4321
0.0000 0.5000 0.6667
0.0000 0.5000 0.8348
0.5000 0.0000 0.1667
0.5000 0.0000 0.3348
0.5000 0.5000 0.9321
```

No. 2
Theoretical X-ray powder pattern
Compound: HoPu2Tl
Radiation: CuKα
Structure: DFT lattice parameters and positions (PBE)

Peak list (10 most intense, 2θ = 15–90°, by intensity)
two_theta, I/Imax, h k l
32.8, 100, 1 1 1
39.8, 30, 2 0 0
67.8, 26, 3 1 1
53.7, 26, 2 0 2
34.5, 22, 0 0 2
60.8, 18, 1 1 3
88.6, 13, 3 1 3
68.8, 12, 2 2 2
57.5, 10, 2 2 0
86.3, 7, 2 0 4

Crystal structure
```
HoPu2Tl
1.0
4.5314 0.0000 0.0000
0.0000 4.5314 0.0000
0.0000 0.0000 5.1974
Ho Pu Tl
1 2 1
Direct
0.0000 0.0000 0.0000
0.0000 0.5000 0.5000
0.5000 0.0000 0.5000
0.5000 0.5000 0.0000
```